1.
Calculated X-ray powder pattern of Al2ZnSe4 for copper Kα, from a DFT-relaxed cell (GGA-PBE, the Materials Project).

Crystal structure
Cell lengths 6.5172, 3.8699, 6.9872 Å; angles 90.00, 90.33, 90.00 degrees
Space group Pm (No. 6)
One atom of each set of equivalent atoms:
Al1 0.0000 0.0000 0.0000
Al2 0.4505 0.0000 0.3210
Zn1 0.9901 0.5000 0.5138
Se1 0.3584 0.0000 0.9994
Se2 0.3693 0.5000 0.5202
Se3 0.8416 0.0000 0.3265
Se4 0.8423 0.5000 0.8408

The 12 most intense peaks (2θ from 10° to 80°), sorted by position:
2θ (°), I/Imax, (hkl)
25.5, 33, 0 0 2
26.3, 88, 0 1 1
27.4, 73, 2 0 0
28.9, 36, 1 0 -2
29.1, 22, 1 0 2
29.7, 100, 1 1 1
38.4, 41, 2 1 1
45.5, 63, 0 1 3
47.0, 29, 0 2 0
49.8, 37, 3 1 -1
49.9, 25, 3 1 1
53.7, 22, 2 1 -3

***

2.
Calculated X-ray powder pattern of Al2ZnSe4 for copper Kα, from a DFT-relaxed cell (GGA-PBE, the Materials Project).

Crystal structure
Cell lengths 10.6971, 10.6971, 10.6971 Å; angles 90.00, 90.00, 90.00 degrees
Space group Fd-3m (No. 227, origin choice 2)
One atom of each set of equivalent atoms:
Al1 0.0000 0.0000 0.0000
Zn1 0.1250 0.1250 0.6250
Se1 0.0093 0.0093 0.2407

The 12 most intense peaks (2θ from 10° to 80°), sorted by position:
2θ (°), I/Imax, (hkl)
23.5, 22, 2 2 0
27.7, 24, 3 1 1
28.9, 100, 2 2 2
33.5, 65, 4 0 0
36.6, 11, 3 3 1
41.3, 8, 4 2 2
44.0, 28, 5 1 1
48.1, 98, 4 4 0
57.1, 37, 6 2 2
59.9, 14, 4 4 4
70.4, 14, 8 0 0
77.8, 13, 6 6 2

***

3.
Calculated X-ray powder pattern of Sr3Al2Si2 for copper Kα, from a DFT-relaxed cell (GGA-PBE, the Materials Project).

Crystal structure
Cell lengths 4.2046, 4.8359, 19.2845 Å; angles 90.00, 90.00, 90.00 degrees
Space group Immm (No. 71)
One atom of each set of equivalent atoms:
Sr1 0.0000 0.0000 0.0000
Sr2 0.0000 0.5000 0.3149
Al1 0.0000 0.0000 0.4330
Si1 0.0000 0.5000 0.1394

The 12 most intense peaks (2θ from 10° to 80°), sorted by position:
2θ (°), I/Imax, (hkl)
25.3, 24, 1 0 3
27.8, 12, 0 0 6
29.6, 100, 0 1 5
33.8, 14, 1 1 4
37.2, 18, 0 2 0
39.1, 13, 1 0 7
43.0, 12, 2 0 0
45.5, 10, 1 2 3
53.1, 15, 2 1 5
55.1, 10, 1 2 7
58.2, 10, 2 2 0
62.4, 12, 0 3 5

***

4.
Calculated X-ray powder pattern of TaAlSi for copper Kα, from a DFT-relaxed cell (GGA-PBE, the Materials Project).

Crystal structure
Cell lengths 4.8937, 4.8937, 6.7744 Å; angles 90.00, 90.00, 120.00 degrees
Space group P3_212 (No. 153)
One atom of each set of equivalent atoms:
Ta1 0.0296 0.5148 0.0000
Al1 0.3373 0.1686 0.0000
Si1 0.1584 0.3168 0.3333

The 12 most intense peaks (2θ from 10° to 80°), sorted by position:
2θ (°), I/Imax, (hkl)
21.0, 22, 1 0 0
24.8, 100, 1 0 1
33.9, 46, 1 0 2
39.1, 77, 1 1 1
39.9, 27, 0 0 3
42.7, 26, 2 0 0
45.7, 49, 2 -1 2
59.3, 18, 3 -1 1
59.9, 19, 2 0 3
64.3, 14, 2 1 2
67.2, 16, 1 1 4
67.8, 13, 3 0 1

***

5.
Calculated X-ray powder pattern of TbAl2Si2 for copper Kα, from a DFT-relaxed cell (GGA-PBE, the Materials Project).

Crystal structure
Cell lengths 4.2186, 4.2186, 6.5908 Å; angles 90.00, 90.00, 120.00 degrees
Space group P-3m1 (No. 164)
One atom of each set of equivalent atoms:
Tb1 0.0000 0.0000 0.0000
Al1 0.3333 0.6667 0.6445
Si1 0.3333 0.6667 0.2606

The 12 most intense peaks (2θ from 10° to 80°), sorted by position:
2θ (°), I/Imax, (hkl)
13.4, 40, 0 0 1
24.4, 22, 1 0 0
27.9, 100, 0 1 1
36.7, 60, 0 1 2
42.9, 36, 1 1 0
45.1, 13, 1 1 1
48.3, 15, 1 0 3
51.9, 18, 2 0 1
57.7, 16, 2 0 2
60.9, 17, 1 1 3
69.6, 15, 1 2 1
74.5, 15, 1 2 2

***

6.
Calculated X-ray powder pattern of Tb12Al7Si for copper Kα, from a DFT-relaxed cell (GGA-PBE, the Materials Project).

Crystal structure
Cell lengths 11.7194, 11.7194, 15.3435 Å; angles 90.00, 90.00, 90.00 degrees
Space group I4/mcm (No. 140)
One atom of each set of equivalent atoms:
Tb1 0.0000 0.5000 0.1480
Tb2 0.0645 0.1998 0.1364
Tb3 0.1701 0.3299 0.5000
Al1 0.0000 0.0000 0.0000
Al2 0.1177 0.3823 0.0000
Al3 0.1785 0.3215 0.2962
Si1 0.0000 0.0000 0.2500

The 12 most intense peaks (2θ from 10° to 80°), sorted by position:
2θ (°), I/Imax, (hkl)
23.2, 40, 0 0 4
24.0, 28, 3 1 0
24.3, 41, 2 1 3
28.1, 22, 3 2 1
31.8, 24, 2 2 4
32.0, 97, 4 1 1
32.4, 38, 3 3 0
32.7, 48, 3 2 3
33.6, 100, 3 1 4
36.2, 28, 4 1 3
52.7, 44, 4 1 7
55.0, 25, 6 2 4

***

7.
Calculated X-ray powder pattern of Tb6Al3Si for copper Kα, from a DFT-relaxed cell (GGA-PBE, the Materials Project).

Crystal structure
Cell lengths 11.6249, 11.6249, 15.3349 Å; angles 90.00, 90.00, 90.00 degrees
Space group I4/mcm (No. 140)
One atom of each set of equivalent atoms:
Tb1 0.0000 0.5000 0.1484
Tb2 0.0641 0.1959 0.1342
Tb3 0.1689 0.3311 0.5000
Al1 0.1196 0.3804 0.0000
Al2 0.1782 0.3218 0.2954
Si1 0.0000 0.0000 0.0000
Si2 0.0000 0.0000 0.2500

The 12 most intense peaks (2θ from 10° to 80°), sorted by position:
2θ (°), I/Imax, (hkl)
23.2, 39, 0 0 4
24.2, 27, 3 1 0
24.4, 35, 2 1 3
28.3, 22, 3 2 1
31.9, 21, 2 2 4
32.3, 91, 4 1 1
32.7, 37, 3 3 0
32.8, 36, 3 2 3
33.8, 100, 3 1 4
36.4, 24, 4 1 3
52.9, 31, 4 1 7
55.4, 26, 6 2 4

***

8.
Calculated X-ray powder pattern of Ti20Al3Si9 for copper Kα, from a DFT-relaxed cell (GGA-PBE, the Materials Project).

Crystal structure
Cell lengths 7.5518, 5.1701, 13.0507 Å; angles 90.00, 90.05, 90.00 degrees
Space group Pm (No. 6)
One atom of each set of equivalent atoms:
Ti1 0.0000 0.0000 0.0000
Ti2 0.0039 0.0000 0.2476
Ti3 0.1289 0.5000 0.1218
Ti4 0.1409 0.0000 0.6183
Ti5 0.2587 0.5000 0.4959
Ti6 0.2613 0.5000 0.7437
Ti7 0.3867 0.2519 0.2914
Ti8 0.3902 0.2538 0.9551
Ti9 0.5046 0.0000 0.4946
Ti10 0.5085 0.0000 0.7467
Ti11 0.6290 0.5000 0.6214
Ti12 0.6403 0.0000 0.1222
Ti13 0.7594 0.5000 0.2473
Ti14 0.7588 0.5000 0.9966
Ti15 0.8801 0.2536 0.7913
Ti16 0.8866 0.2519 0.4516
Al1 0.1856 0.0000 0.8195
Al2 0.2764 0.0000 0.1222
Al3 0.7784 0.0000 0.6207
Si1 0.0822 0.5000 0.3164
Si2 0.0837 0.5000 0.9252
Si3 0.1877 0.0000 0.4242
Si4 0.4910 0.5000 0.1231
Si5 0.5782 0.5000 0.8160
Si6 0.5816 0.5000 0.4271
Si7 0.6872 0.0000 0.3176
Si8 0.6871 0.0000 0.9263
Si9 0.9908 0.5000 0.6219

The 12 most intense peaks (2θ from 10° to 80°), sorted by position:
2θ (°), I/Imax, (hkl)
27.3, 13, 2 0 -2
29.3, 7, 1 1 3
34.7, 13, 0 2 0
36.4, 40, 1 0 -5
37.4, 24, 0 2 2
40.5, 100, 3 1 -1
41.5, 48, 0 0 6
42.4, 79, 1 2 3
60.8, 19, 2 2 6
66.1, 17, 2 3 -4
67.9, 9, 4 2 4
73.2, 8, 0 4 0

***

9.
Calculated X-ray powder pattern of TmAlSi for copper Kα, from a DFT-relaxed cell (GGA-PBE, the Materials Project).

Crystal structure
Cell lengths 3.9899, 10.1538, 5.6433 Å; angles 90.00, 90.00, 90.00 degrees
Space group Cmcm (No. 63)
One atom of each set of equivalent atoms:
Tm1 0.0000 0.1943 0.2500
Al1 0.0000 0.5000 0.0000
Si1 0.0000 0.1017 0.7500

The 12 most intense peaks (2θ from 10° to 80°), sorted by position:
2θ (°), I/Imax, (hkl)
17.5, 34, 0 2 0
23.6, 26, 0 2 1
28.8, 100, 1 1 1
31.7, 28, 0 0 2
34.8, 52, 1 3 0
36.4, 30, 0 2 2
38.3, 29, 1 3 1
38.9, 38, 0 4 1
40.1, 24, 1 1 2
45.5, 18, 2 0 0
47.8, 21, 1 3 2
61.3, 30, 2 4 1

***

10.
Calculated X-ray powder pattern of Tm12Al7Si for copper Kα, from a DFT-relaxed cell (GGA-PBE, the Materials Project).

Crystal structure
Cell lengths 11.4832, 11.4832, 15.0400 Å; angles 90.00, 90.00, 90.00 degrees
Space group I4/mcm (No. 140)
One atom of each set of equivalent atoms:
Tm1 0.0000 0.5000 0.1468
Tm2 0.0641 0.2012 0.1367
Tm3 0.1706 0.3294 0.5000
Al1 0.0000 0.0000 0.0000
Al2 0.1186 0.3814 0.0000
Al3 0.1777 0.3223 0.2968
Si1 0.0000 0.0000 0.2500

The 12 most intense peaks (2θ from 10° to 80°), sorted by position:
2θ (°), I/Imax, (hkl)
23.7, 42, 0 0 4
24.5, 28, 3 1 0
24.8, 43, 2 1 3
32.5, 24, 2 2 4
32.7, 99, 4 1 1
33.1, 38, 3 3 0
33.3, 49, 3 2 3
34.3, 100, 3 1 4
36.9, 28, 4 1 3
53.9, 46, 4 1 7
56.3, 25, 6 2 4
62.3, 23, 7 1 4

***

11.
Calculated X-ray powder pattern of Tm2AlSi2 for copper Kα, from a DFT-relaxed cell (GGA-PBE, the Materials Project).

Crystal structure
Cell lengths 4.0219, 5.7842, 8.5146 Å; angles 90.00, 90.00, 90.00 degrees
Space group Immm (No. 71)
One atom of each set of equivalent atoms:
Tm1 0.0000 0.0000 0.2112
Al1 0.0000 0.5000 0.0000
Si1 0.0000 0.2890 0.5000

The 12 most intense peaks (2θ from 10° to 80°), sorted by position:
2θ (°), I/Imax, (hkl)
20.9, 33, 0 0 2
27.0, 71, 1 1 0
30.9, 28, 0 2 0
34.4, 100, 1 1 2
35.2, 23, 0 1 3
37.6, 35, 0 2 2
38.8, 20, 1 0 3
45.1, 18, 2 0 0
57.2, 17, 1 3 2
60.1, 18, 2 2 2
68.0, 19, 1 2 5
76.2, 17, 3 1 2